Record 1
Starting from a GGA-PBE-relaxed structure, the PXRD pattern of CsZrUTe5 was computed for Cu Kα X-rays.

```
data_CsZrUTe5
_chemical_formula_sum 'Cs2 Zr2 U2 Te10'
_cell_length_a 6.334
_cell_length_b 8.645
_cell_length_c 10.570
_cell_angle_alpha 90.00
_cell_angle_beta 90.00
_cell_angle_gamma 90.00
_symmetry_space_group_name_H-M 'P 1'
_symmetry_Int_Tables_number 1
loop_
_symmetry_equiv_pos_as_xyz
'x,y,z'
loop_
_atom_site_label
_atom_site_type_symbol
_atom_site_fract_x
_atom_site_fract_y
_atom_site_fract_z
Cs1 Cs 0.250 0.000 0.219
Cs2 Cs 0.750 0.000 0.781
Zr1 Zr 0.000 0.500 0.000
Zr2 Zr 0.500 0.500 0.000
U1 U 0.250 0.500 0.665
U2 U 0.750 0.500 0.335
Te1 Te 0.000 0.262 0.500
Te2 Te 0.000 0.738 0.500
Te3 Te 0.250 0.255 0.879
Te4 Te 0.250 0.500 0.232
Te5 Te 0.250 0.745 0.879
Te6 Te 0.500 0.262 0.500
Te7 Te 0.500 0.738 0.500
Te8 Te 0.750 0.255 0.121
Te9 Te 0.750 0.500 0.768
Te10 Te 0.750 0.745 0.121
```

Most intense lines, 2θ from 15° to 90°, low angle first:
d_spacing  two_theta  intensity
4.600  19.29  45
3.346  26.64  67
3.079  29.00  36
2.959  30.21  100
2.731  32.79  56
2.717  32.97  67
2.483  36.17  80
2.161  41.80  42
1.786  51.16  30
1.691  54.24  31


Record 2
Starting from a GGA-PBE-relaxed structure, the PXRD pattern of CsV5Te8 was computed for Cu Kα X-rays.

```
data_CsV5Te8
_chemical_formula_sum 'Cs1 V5 Te8'
_cell_length_a 10.316
_cell_length_b 10.316
_cell_length_c 9.865
_cell_angle_alpha 103.46
_cell_angle_beta 103.46
_cell_angle_gamma 22.14
_symmetry_space_group_name_H-M 'P 1'
_symmetry_Int_Tables_number 1
loop_
_symmetry_equiv_pos_as_xyz
'x,y,z'
loop_
_atom_site_label
_atom_site_type_symbol
_atom_site_fract_x
_atom_site_fract_y
_atom_site_fract_z
Cs1 Cs 0.000 0.000 0.000
V1 V 0.152 0.152 0.501
V2 V 0.206 0.206 0.828
V3 V 0.499 0.499 0.500
V4 V 0.793 0.793 0.170
V5 V 0.848 0.848 0.499
Te1 Te 0.069 0.069 0.673
Te2 Te 0.259 0.259 0.348
Te3 Te 0.331 0.331 0.008
Te4 Te 0.409 0.409 0.670
Te5 Te 0.590 0.590 0.330
Te6 Te 0.668 0.668 0.991
Te7 Te 0.741 0.741 0.651
Te8 Te 0.930 0.930 0.325
```

Most intense lines, 2θ from 15° to 90°, low angle first:
d_spacing  two_theta  intensity
3.195  27.93  40
3.080  28.99  100
3.066  29.13  48
2.943  30.37  71
2.898  30.85  36
2.482  36.19  28
2.196  41.11  32
1.981  45.82  27
1.956  46.42  47
1.663  55.24  29


Record 3
Starting from a GGA-PBE-relaxed structure, the PXRD pattern of Cs2Y3Te6 was computed for Cu Kα X-rays.

```
data_Cs2Y3Te6
_chemical_formula_sum 'Cs2 Y3 Te6'
_cell_length_a 7.590
_cell_length_b 7.590
_cell_length_c 9.673
_cell_angle_alpha 97.53
_cell_angle_beta 97.53
_cell_angle_gamma 120.00
_symmetry_space_group_name_H-M 'P 1'
_symmetry_Int_Tables_number 1
loop_
_symmetry_equiv_pos_as_xyz
'x,y,z'
loop_
_atom_site_label
_atom_site_type_symbol
_atom_site_fract_x
_atom_site_fract_y
_atom_site_fract_z
Cs1 Cs 0.166 0.834 0.000
Cs2 Cs 0.834 0.166 0.000
Y1 Y 0.000 0.000 0.500
Y2 Y 0.332 0.668 0.500
Y3 Y 0.668 0.332 0.500
Te1 Te 0.067 0.397 0.692
Te2 Te 0.272 0.272 0.309
Te3 Te 0.397 0.067 0.692
Te4 Te 0.603 0.933 0.308
Te5 Te 0.728 0.728 0.691
Te6 Te 0.933 0.603 0.308
```

Most intense lines, 2θ from 15° to 90°, low angle first:
d_spacing  two_theta  intensity
3.336  26.72  100
3.142  28.41  10
3.112  28.69  8
2.753  32.52  14
2.573  34.87  31
2.191  41.20  36
2.114  42.77  11
1.831  49.79  18
1.791  50.98  10
1.405  66.55  15


Record 4
Starting from a GGA-PBE-relaxed structure, the PXRD pattern of CsY5Te8 was computed for Cu Kα X-rays.

```
data_CsY5Te8
_chemical_formula_sum 'Cs1 Y5 Te8'
_cell_length_a 11.541
_cell_length_b 11.541
_cell_length_c 10.884
_cell_angle_alpha 103.77
_cell_angle_beta 103.77
_cell_angle_gamma 22.04
_symmetry_space_group_name_H-M 'P 1'
_symmetry_Int_Tables_number 1
loop_
_symmetry_equiv_pos_as_xyz
'x,y,z'
loop_
_atom_site_label
_atom_site_type_symbol
_atom_site_fract_x
_atom_site_fract_y
_atom_site_fract_z
Cs1 Cs 0.000 0.000 0.000
Y1 Y 0.156 0.156 0.469
Y2 Y 0.205 0.205 0.844
Y3 Y 0.500 0.500 0.499
Y4 Y 0.795 0.795 0.155
Y5 Y 0.844 0.844 0.530
Te1 Te 0.076 0.076 0.661
Te2 Te 0.266 0.266 0.345
Te3 Te 0.335 0.335 0.002
Te4 Te 0.417 0.417 0.687
Te5 Te 0.584 0.584 0.312
Te6 Te 0.665 0.665 0.997
Te7 Te 0.735 0.735 0.654
Te8 Te 0.924 0.924 0.338
```

Most intense lines, 2θ from 15° to 90°, low angle first:
d_spacing  two_theta  intensity
3.520  25.30  15
3.424  26.02  100
3.273  27.25  43
3.227  27.64  17
2.906  30.77  13
2.753  32.52  29
2.717  32.96  15
2.429  37.01  15
2.206  40.91  23
2.186  41.30  41


Record 5
Starting from a GGA-PBE-relaxed structure, the PXRD pattern of Cs6ZnTe4 was computed for Cu Kα X-rays.

```
data_Cs6ZnTe4
_chemical_formula_sum 'Cs12 Zn2 Te8'
_cell_length_a 11.741
_cell_length_b 11.741
_cell_length_c 9.298
_cell_angle_alpha 90.00
_cell_angle_beta 90.00
_cell_angle_gamma 120.00
_symmetry_space_group_name_H-M 'P 1'
_symmetry_Int_Tables_number 1
loop_
_symmetry_equiv_pos_as_xyz
'x,y,z'
loop_
_atom_site_label
_atom_site_type_symbol
_atom_site_fract_x
_atom_site_fract_y
_atom_site_fract_z
Cs1 Cs 0.053 0.526 0.000
Cs2 Cs 0.147 0.293 0.681
Cs3 Cs 0.147 0.853 0.681
Cs4 Cs 0.293 0.147 0.181
Cs5 Cs 0.474 0.526 0.000
Cs6 Cs 0.474 0.947 0.000
Cs7 Cs 0.526 0.053 0.500
Cs8 Cs 0.526 0.474 0.500
Cs9 Cs 0.707 0.853 0.681
Cs10 Cs 0.853 0.147 0.181
Cs11 Cs 0.853 0.707 0.181
Cs12 Cs 0.947 0.474 0.500
Zn1 Zn 0.333 0.667 0.388
Zn2 Zn 0.667 0.333 0.888
Te1 Te 0.203 0.406 0.295
Te2 Te 0.203 0.797 0.295
Te3 Te 0.333 0.667 0.689
Te4 Te 0.406 0.203 0.795
Te5 Te 0.594 0.797 0.295
Te6 Te 0.667 0.333 0.189
Te7 Te 0.797 0.203 0.795
Te8 Te 0.797 0.594 0.795
```

Most intense lines, 2θ from 15° to 90°, low angle first:
d_spacing  two_theta  intensity
3.552  25.07  76
3.431  25.97  100
3.184  28.02  49
2.964  30.16  52
2.935  30.45  74
2.646  33.87  20
2.085  43.39  19
1.987  45.65  29
1.864  48.87  41
1.646  55.86  22


Record 6
Starting from a GGA-PBE-relaxed structure, the PXRD pattern of CsZr5Te8 was computed for Cu Kα X-rays.

```
data_CsZr5Te8
_chemical_formula_sum 'Cs1 Zr5 Te8'
_cell_length_a 10.863
_cell_length_b 10.863
_cell_length_c 10.336
_cell_angle_alpha 104.21
_cell_angle_beta 104.21
_cell_angle_gamma 21.23
_symmetry_space_group_name_H-M 'P 1'
_symmetry_Int_Tables_number 1
loop_
_symmetry_equiv_pos_as_xyz
'x,y,z'
loop_
_atom_site_label
_atom_site_type_symbol
_atom_site_fract_x
_atom_site_fract_y
_atom_site_fract_z
Cs1 Cs 0.000 0.000 0.000
Zr1 Zr 0.152 0.152 0.507
Zr2 Zr 0.209 0.209 0.849
Zr3 Zr 0.500 0.500 0.500
Zr4 Zr 0.791 0.791 0.151
Zr5 Zr 0.848 0.848 0.493
Te1 Te 0.072 0.072 0.688
Te2 Te 0.255 0.255 0.337
Te3 Te 0.341 0.341 0.997
Te4 Te 0.413 0.413 0.682
Te5 Te 0.587 0.587 0.318
Te6 Te 0.659 0.659 0.003
Te7 Te 0.745 0.745 0.663
Te8 Te 0.928 0.928 0.312
```

Most intense lines, 2θ from 15° to 90°, low angle first:
d_spacing  two_theta  intensity
3.336  26.72  20
3.242  27.52  46
3.152  28.32  100
3.031  29.47  68
2.693  33.27  21
2.569  34.92  61
2.556  35.11  29
2.041  44.39  53
2.002  45.31  31
1.669  55.02  20


Record 7
Starting from a GGA-PBE-relaxed structure, the PXRD pattern of Cs4ZrTe4 was computed for Cu Kα X-rays.

```
data_Cs4ZrTe4
_chemical_formula_sum 'Cs4 Zr1 Te4'
_cell_length_a 9.886
_cell_length_b 9.886
_cell_length_c 9.886
_cell_angle_alpha 125.49
_cell_angle_beta 125.49
_cell_angle_gamma 80.73
_symmetry_space_group_name_H-M 'P 1'
_symmetry_Int_Tables_number 1
loop_
_symmetry_equiv_pos_as_xyz
'x,y,z'
loop_
_atom_site_label
_atom_site_type_symbol
_atom_site_fract_x
_atom_site_fract_y
_atom_site_fract_z
Cs1 Cs 0.000 0.500 0.500
Cs2 Cs 0.196 0.196 0.000
Cs3 Cs 0.500 0.000 0.500
Cs4 Cs 0.804 0.804 0.000
Zr1 Zr 0.500 0.500 0.000
Te1 Te 0.216 0.569 0.000
Te2 Te 0.431 0.431 0.647
Te3 Te 0.569 0.216 0.000
Te4 Te 0.784 0.784 0.353
```

Most intense lines, 2θ from 15° to 90°, low angle first:
d_spacing  two_theta  intensity
4.878  18.18  100
3.911  22.74  25
3.201  27.87  41
3.152  28.31  60
2.895  30.88  46
2.677  33.48  29
2.587  34.67  21
2.196  41.11  19
2.025  44.76  17
2.012  45.06  18


Record 8
Starting from a GGA-PBE-relaxed structure, the PXRD pattern of Cs2Zr3Te6 was computed for Cu Kα X-rays.

```
data_Cs2Zr3Te6
_chemical_formula_sum 'Cs2 Zr3 Te6'
_cell_length_a 7.102
_cell_length_b 7.102
_cell_length_c 9.651
_cell_angle_alpha 97.07
_cell_angle_beta 97.07
_cell_angle_gamma 120.02
_symmetry_space_group_name_H-M 'P 1'
_symmetry_Int_Tables_number 1
loop_
_symmetry_equiv_pos_as_xyz
'x,y,z'
loop_
_atom_site_label
_atom_site_type_symbol
_atom_site_fract_x
_atom_site_fract_y
_atom_site_fract_z
Cs1 Cs 0.166 0.834 0.000
Cs2 Cs 0.834 0.166 0.000
Zr1 Zr 0.000 0.000 0.500
Zr2 Zr 0.331 0.669 0.500
Zr3 Zr 0.669 0.331 0.500
Te1 Te 0.067 0.396 0.688
Te2 Te 0.275 0.275 0.313
Te3 Te 0.396 0.067 0.688
Te4 Te 0.604 0.933 0.312
Te5 Te 0.725 0.725 0.687
Te6 Te 0.933 0.604 0.312
```

Most intense lines, 2θ from 15° to 90°, low angle first:
d_spacing  two_theta  intensity
3.168  28.17  100
3.118  28.63  10
3.001  29.77  12
2.658  33.72  16
2.495  35.99  31
2.072  43.69  13
2.050  44.18  34
1.721  53.23  17
1.713  53.50  10
1.318  71.59  13


Record 9
Starting from a GGA-PBE-relaxed structure, the PXRD pattern of CsTi4 was computed for Cu Kα X-rays.

```
data_CsTi4
_chemical_formula_sum 'Cs1 Ti4'
_cell_length_a 4.914
_cell_length_b 4.914
_cell_length_c 4.914
_cell_angle_alpha 90.00
_cell_angle_beta 90.00
_cell_angle_gamma 90.00
_symmetry_space_group_name_H-M 'P 1'
_symmetry_Int_Tables_number 1
loop_
_symmetry_equiv_pos_as_xyz
'x,y,z'
loop_
_atom_site_label
_atom_site_type_symbol
_atom_site_fract_x
_atom_site_fract_y
_atom_site_fract_z
Cs1 Cs 0.000 0.000 0.000
Ti1 Ti 0.000 0.000 0.500
Ti2 Ti 0.000 0.500 0.000
Ti3 Ti 0.500 0.000 0.000
Ti4 Ti 0.500 0.500 0.500
```

Most intense lines, 2θ from 15° to 90°, low angle first:
d_spacing  two_theta  intensity
4.914  18.05  99
3.475  25.64  85
2.457  36.57  100
2.197  41.07  47
2.006  45.20  36
1.737  52.69  66
1.638  56.16  24
1.418  65.84  22
1.313  71.89  18
1.099  89.12  28